No. 1
Calculated X-ray powder pattern of CoHO2 for CuKα, from the PBE+U geometry in the Materials Project.

Structural model:
a = 3.0541 Å, b = 3.0541 Å, c = 8.9037 Å
α = 91.91°, β = 91.91°, γ = 56.78°
Fractional coordinates of all 8 atoms:
Co (0.0000, 0.0000, 0.0000)
Co (0.0000, 0.0000, 0.5000)
H (0.3489, 0.3489, 0.7492)
H (0.6511, 0.6511, 0.2508)
O (0.3396, 0.3396, 0.6171)
O (0.3477, 0.3477, 0.8888)
O (0.6523, 0.6523, 0.1112)
O (0.6604, 0.6604, 0.3829)

Most intense lines, 15 to 90 degrees two-theta, in order of rising 2θ:
2θ = 19.96°, intensity 100.0; 2θ = 35.13°, intensity 20.0; 2θ = 38.50°, intensity 15.8; 2θ = 40.40°, intensity 27.1; 2θ = 41.06°, intensity 24.9; 2θ = 54.19°, intensity 16.5; 2θ = 55.25°, intensity 16.8; 2θ = 60.79°, intensity 16.1

No. 2
Calculated X-ray powder pattern of CoHO2 for CuKα, from the PBE+U geometry in the Materials Project.

Structural model:
a = 4.9457 Å, b = 5.1020 Å, c = 6.1624 Å
α = 94.85°, β = 113.46°, γ = 95.05°
Fractional coordinates of all 16 atoms:
Co (0.0000, 0.0000, 0.0000)
Co (0.9996, 0.0001, 0.4994)
Co (0.0041, 0.4968, 0.7428)
Co (0.9960, 0.5048, 0.2567)
H (0.4584, 0.7466, 0.1105)
H (0.4602, 0.2463, 0.3616)
H (0.5391, 0.7536, 0.6393)
H (0.5421, 0.2541, 0.8898)
O (0.2159, 0.2013, 0.8057)
O (0.2187, 0.7056, 0.5557)
O (0.2262, 0.7055, 0.0525)
O (0.2268, 0.2079, 0.3030)
O (0.7724, 0.7910, 0.6982)
O (0.7739, 0.2948, 0.9478)
O (0.7805, 0.2969, 0.4425)
O (0.7826, 0.8001, 0.1951)

Most intense lines, 15 to 90 degrees two-theta, in order of rising 2θ:
2θ = 19.74°, intensity 100.0; 2θ = 34.09°, intensity 33.3; 2θ = 35.67°, intensity 10.4; 2θ = 38.57°, intensity 22.4; 2θ = 38.76°, intensity 22.0; 2θ = 44.36°, intensity 21.1; 2θ = 50.70°, intensity 13.6; 2θ = 50.95°, intensity 13.4

No. 3
Calculated X-ray powder pattern of CoPH3O5 for CuKα, from the PBE+U geometry in the Materials Project.

Structural model:
a = 8.3486 Å, b = 9.7915 Å, c = 9.9187 Å
α = 109.31°, β = 101.97°, γ = 110.52°
Fractional coordinates of all 60 atoms:
Co (0.0000, 0.0000, 0.0000)
Co (0.1097, 0.4516, 0.6877)
Co (0.2773, 0.9558, 0.5813)
Co (0.3968, 0.1184, 0.1326)
Co (0.6253, 0.9833, 0.0982)
Co (0.7979, 0.4920, 0.8355)
P (0.0312, 0.2309, 0.3335)
P (0.1412, 0.7616, 0.0095)
P (0.1892, 0.3146, 0.9393)
P (0.5448, 0.6627, 0.7439)
P (0.5794, 0.1144, 0.4691)
P (0.5820, 0.1893, 0.8829)
H (0.0023, 0.5380, 0.2536)
H (0.0647, 0.1224, 0.4853)
H (0.0878, 0.8900, 0.4751)
H (0.1369, 0.8348, 0.7647)
H (0.1546, 0.9843, 0.2513)
H (0.2240, 0.7348, 0.6644)
H (0.2941, 0.6558, 0.1214)
H (0.3079, 0.3848, 0.3664)
H (0.4829, 0.3699, 0.1882)
H (0.5499, 0.3561, 0.2429)
H (0.6311, 0.8568, 0.1459)
H (0.6668, 0.9303, 0.8338)
H (0.6769, 0.6572, 0.5779)
H (0.7000, 0.9448, 0.3954)
H (0.7188, 0.0917, 0.7267)
H (0.9392, 0.4154, 0.4249)
H (0.9557, 0.6558, 0.2022)
H (0.9949, 0.4085, 0.9802)
O (0.0245, 0.3250, 0.9947)
O (0.0522, 0.8215, 0.8833)
O (0.0667, 0.5653, 0.8709)
O (0.1376, 0.3013, 0.7723)
O (0.1633, 0.3539, 0.5182)
O (0.1701, 0.1495, 0.9432)
O (0.1731, 0.9706, 0.1537)
O (0.1949, 0.8267, 0.6808)
O (0.2080, 0.2838, 0.2818)
O (0.2390, 0.7296, 0.1540)
O (0.3539, 0.8749, 0.0146)
O (0.3593, 0.6457, 0.7428)
O (0.3710, 0.4579, 0.0500)
O (0.3752, 0.0242, 0.4512)
O (0.4030, 0.1548, 0.7707)
O (0.5637, 0.6616, 0.5860)
O (0.5688, 0.1436, 0.0158)
O (0.5812, 0.1302, 0.3191)
O (0.6057, 0.5459, 0.7769)
O (0.6501, 0.0592, 0.7894)
O (0.6734, 0.9977, 0.4844)
O (0.6890, 0.8494, 0.8714)
O (0.6920, 0.2697, 0.6190)
O (0.7268, 0.3640, 0.9415)
O (0.8915, 0.0875, 0.1477)
O (0.9166, 0.3289, 0.3193)
O (0.9364, 0.6871, 0.0266)
O (0.9693, 0.6267, 0.2888)
O (0.9794, 0.5086, 0.5899)
O (0.9936, 0.0734, 0.3746)

Most intense lines, 15 to 90 degrees two-theta, in order of rising 2θ:
2θ = 17.78°, intensity 42.6; 2θ = 19.39°, intensity 100.0; 2θ = 19.57°, intensity 65.8; 2θ = 22.23°, intensity 45.0; 2θ = 24.21°, intensity 69.0; 2θ = 27.05°, intensity 46.8; 2θ = 28.62°, intensity 44.2; 2θ = 29.39°, intensity 52.3

No. 4
Calculated X-ray powder pattern of CoP4H10O16 for CuKα, from the PBE+U geometry in the Materials Project.

Structural model:
a = 5.3901 Å, b = 7.5110 Å, c = 7.6403 Å
α = 99.46°, β = 98.16°, γ = 96.35°
Fractional coordinates of all 31 atoms:
Co (0.0000, 0.0000, 0.0000)
P (0.0703, 0.7260, 0.3028)
P (0.4387, 0.7532, 0.8201)
P (0.5613, 0.2468, 0.1799)
P (0.9297, 0.2740, 0.6972)
H (0.0590, 0.7822, 0.6753)
H (0.2341, 0.3962, 0.5767)
H (0.3203, 0.4990, 0.2908)
H (0.3444, 0.9655, 0.3245)
H (0.3690, 0.2738, 0.9217)
H (0.6310, 0.7262, 0.0783)
H (0.6556, 0.0345, 0.6755)
H (0.6797, 0.5010, 0.7092)
H (0.7659, 0.6038, 0.4233)
H (0.9410, 0.2178, 0.3247)
O (0.0717, 0.2140, 0.8590)
O (0.1040, 0.2826, 0.5449)
O (0.1408, 0.5315, 0.2564)
O (0.1717, 0.8312, 0.7935)
O (0.3044, 0.8663, 0.3976)
O (0.3465, 0.0933, 0.1781)
O (0.4321, 0.5856, 0.6763)
O (0.4498, 0.7074, 0.0141)
O (0.5502, 0.2926, 0.9859)
O (0.5679, 0.4144, 0.3237)
O (0.6535, 0.9067, 0.8219)
O (0.6956, 0.1337, 0.6024)
O (0.8283, 0.1688, 0.2065)
O (0.8592, 0.4685, 0.7436)
O (0.8960, 0.7174, 0.4551)
O (0.9283, 0.7860, 0.1410)

Most intense lines, 15 to 90 degrees two-theta, in order of rising 2θ:
2θ = 15.33°, intensity 35.8; 2θ = 22.03°, intensity 33.8; 2θ = 22.45°, intensity 100.0; 2θ = 24.79°, intensity 55.0; 2θ = 27.42°, intensity 57.0; 2θ = 29.48°, intensity 29.1; 2θ = 30.89°, intensity 51.2; 2θ = 31.05°, intensity 37.4

No. 5
Calculated X-ray powder pattern of CoPH3O5 for CuKα, from the PBE+U geometry in the Materials Project.

Structural model:
a = 9.6487 Å, b = 9.6487 Å, c = 9.6487 Å
α = 112.72°, β = 112.72°, γ = 112.72°
Fractional coordinates of all 60 atoms:
Co (0.0751, 0.7921, 0.5409)
Co (0.2079, 0.4591, 0.9249)
Co (0.4591, 0.9249, 0.2079)
Co (0.5409, 0.0751, 0.7921)
Co (0.7921, 0.5409, 0.0751)
Co (0.9249, 0.2079, 0.4591)
P (0.2466, 0.6893, 0.3272)
P (0.3107, 0.6728, 0.7534)
P (0.3272, 0.2466, 0.6893)
P (0.6728, 0.7534, 0.3107)
P (0.6893, 0.3272, 0.2466)
P (0.7534, 0.3107, 0.6728)
H (0.0407, 0.8395, 0.1306)
H (0.0875, 0.1416, 0.3226)
H (0.1306, 0.0407, 0.8395)
H (0.1416, 0.3226, 0.0875)
H (0.1605, 0.8694, 0.9593)
H (0.1762, 0.4793, 0.3831)
H (0.3226, 0.0875, 0.1416)
H (0.3831, 0.1762, 0.4793)
H (0.4793, 0.3831, 0.1762)
H (0.5207, 0.6169, 0.8238)
H (0.6169, 0.8238, 0.5207)
H (0.6774, 0.9125, 0.8584)
H (0.8238, 0.5207, 0.6169)
H (0.8395, 0.1306, 0.0407)
H (0.8584, 0.6774, 0.9125)
H (0.8694, 0.9593, 0.1605)
H (0.9125, 0.8584, 0.6774)
H (0.9593, 0.1605, 0.8694)
O (0.0449, 0.8983, 0.7529)
O (0.0855, 0.6976, 0.3172)
O (0.1017, 0.2471, 0.9551)
O (0.1468, 0.4733, 0.5541)
O (0.1643, 0.2488, 0.6747)
O (0.1881, 0.4882, 0.2871)
O (0.2471, 0.9551, 0.1017)
O (0.2488, 0.6747, 0.1643)
O (0.2871, 0.1881, 0.4882)
O (0.3024, 0.6828, 0.9145)
O (0.3172, 0.0855, 0.6976)
O (0.3253, 0.8357, 0.7512)
O (0.4459, 0.8532, 0.5267)
O (0.4733, 0.5541, 0.1468)
O (0.4882, 0.2871, 0.1881)
O (0.5118, 0.7129, 0.8119)
O (0.5267, 0.4459, 0.8532)
O (0.5541, 0.1468, 0.4733)
O (0.6747, 0.1643, 0.2488)
O (0.6828, 0.9145, 0.3024)
O (0.6976, 0.3172, 0.0855)
O (0.7129, 0.8119, 0.5118)
O (0.7512, 0.3253, 0.8357)
O (0.7529, 0.0449, 0.8983)
O (0.8119, 0.5118, 0.7129)
O (0.8357, 0.7512, 0.3253)
O (0.8532, 0.5267, 0.4459)
O (0.8983, 0.7529, 0.0449)
O (0.9145, 0.3024, 0.6828)
O (0.9551, 0.1017, 0.2471)

Most intense lines, 15 to 90 degrees two-theta, in order of rising 2θ:
2θ = 20.23°, intensity 65.0; 2θ = 28.08°, intensity 68.4; 2θ = 29.42°, intensity 30.5; 2θ = 30.16°, intensity 100.0; 2θ = 34.20°, intensity 27.9; 2θ = 35.99°, intensity 26.3; 2θ = 41.10°, intensity 27.9; 2θ = 42.70°, intensity 27.4